[1]
Diffraction record for BaTe3O7. The XRD peak list is simulated, not measured: it uses a DFT-relaxed cell (GGA-PBE, the Materials Project) and copper Kα.
Kinematic intensities with the Lorentz-polarization factor, no thermal factor.

Top 6 peaks for 2θ = 5–70°, in order of falling intensity:
- 26.0 deg, intensity 100, (1 1 2)
- 28.7 deg, intensity 83, (2 1 -4)
- 25.9 deg, intensity 81, (2 1 0)
- 33.4 deg, intensity 51, (0 2 0)
- 28.2 deg, intensity 40, (1 1 -4)
- 25.6 deg, intensity 39, (3 0 -2)

Atomic structure:
a = 10.470 Å, b = 5.364 Å, c = 15.891 Å
α = 90.00°, β = 120.79°, γ = 90.00°
Space group P2_1/c (No. 14)
Inequivalent atoms, fractional coordinates:
Ba 0.081 0.240 0.396 x4
Te 0.236 0.225 0.208 x4
Te 0.311 0.737 0.106 x4
Te 0.424 0.691 0.907 x4
O 0.064 0.219 0.712 x4
O 0.158 0.521 0.096 x4
O 0.159 0.026 0.089 x4
O 0.244 0.727 0.473 x4
O 0.261 0.630 0.769 x4
O 0.396 0.148 0.434 x4
O 0.418 0.119 0.620 x4

=====

[2]
Diffraction record for BaTeO4. The XRD peak list is simulated, not measured: it uses a DFT-relaxed cell (GGA-PBE, the Materials Project) and copper Kα.
Kinematic intensities with the Lorentz-polarization factor, no thermal factor.

Top 6 peaks for 2θ = 5–70°, in order of falling intensity:
- 23.6 deg, intensity 100, (1 1 1)
- 24.3 deg, intensity 49, (1 3 0)
- 43.6 deg, intensity 46, (2 4 1)
- 31.1 deg, intensity 35, (0 4 1)
- 30.0 deg, intensity 28, (1 3 1)
- 29.7 deg, intensity 21, (2 0 0)

Atomic structure:
a = 6.011 Å, b = 13.837 Å, c = 5.148 Å
α = 90.00°, β = 90.00°, γ = 90.00°
Space group Pbcn (No. 60)
Inequivalent atoms, fractional coordinates:
Ba 0.000 0.165 0.250 x4
Te 0.000 0.433 0.250 x4
O 0.176 0.460 0.572 x8
O 0.209 0.340 0.148 x8

=====

[3]
Diffraction record for Ba3Te2O9. The XRD peak list is simulated, not measured: it uses a DFT-relaxed cell (GGA-PBE, the Materials Project) and copper Kα.
Kinematic intensities with the Lorentz-polarization factor, no thermal factor.

Top 6 peaks for 2θ = 5–70°, in order of falling intensity:
- 30.0 deg, intensity 100, (1 1 0)
- 25.1 deg, intensity 49, (1 0 3)
- 39.5 deg, intensity 37, (2 0 3)
- 53.3 deg, intensity 27, (3 0 0)
- 40.9 deg, intensity 17, (1 0 6)
- 51.6 deg, intensity 15, (2 0 6)

Atomic structure:
a = 5.9547 Å, b = 5.9547 Å, c = 14.6275 Å
α = 90.00°, β = 90.00°, γ = 120.00°
Space group P6_3/mmc (No. 194)
Inequivalent atoms, fractional coordinates:
Ba 0.3333 0.6667 0.0598 x4
Ba 0.3333 0.6667 0.7500 x2
Te 0.0000 0.0000 0.1502 x4
O 0.1430 0.2861 0.2500 x6
O 0.1637 0.3274 0.5919 x12

=====

[4]
Diffraction record for BaTe2O6. The XRD peak list is simulated, not measured: it uses a DFT-relaxed cell (GGA-PBE, the Materials Project) and copper Kα.
Kinematic intensities with the Lorentz-polarization factor, no thermal factor.

Top 6 peaks for 2θ = 5–70°, in order of falling intensity:
- 28.4 deg, intensity 100, (1 3 1)
- 29.5 deg, intensity 98, (1 1 2)
- 25.7 deg, intensity 52, (1 3 0)
- 27.5 deg, intensity 42, (0 2 2)
- 31.6 deg, intensity 41, (2 0 0)
- 44.9 deg, intensity 30, (1 3 3)

Atomic structure:
a = 5.663 Å, b = 13.132 Å, c = 7.462 Å
α = 90.00°, β = 90.00°, γ = 90.00°
Space group Cmcm (No. 63)
Inequivalent atoms, fractional coordinates:
Ba 0.000 0.222 0.250 x4
Te 0.000 0.085 0.750 x4
Te 0.000 0.500 0.000 x4
O 0.000 0.226 0.750 x4
O 0.000 0.452 0.750 x4
O 0.237 0.395 0.045 x16

=====

[5]
Diffraction record for Ba2TeO. The XRD peak list is simulated, not measured: it uses a DFT-relaxed cell (GGA-PBE, the Materials Project) and copper Kα.
Kinematic intensities with the Lorentz-polarization factor, no thermal factor.

Top 6 peaks for 2θ = 5–70°, in order of falling intensity:
- 30.3 deg, intensity 100, (1 1 2)
- 26.1 deg, intensity 83, (1 1 1)
- 35.0 deg, intensity 65, (2 0 0)
- 26.3 deg, intensity 56, (0 0 3)
- 44.3 deg, intensity 54, (2 0 3)
- 51.6 deg, intensity 30, (1 1 5)

Atomic structure:
a = 5.124 Å, b = 5.124 Å, c = 10.163 Å
α = 90.00°, β = 90.00°, γ = 90.00°
Space group P4/nmm (No. 129, origin choice 2)
Inequivalent atoms, fractional coordinates:
Ba 0.250 0.250 0.168 x2
Ba 0.250 0.750 0.500 x2
Te 0.250 0.250 0.800 x2
O 0.250 0.250 0.412 x2

=====

[6]
Diffraction record for BaTeO4. The XRD peak list is simulated, not measured: it uses a DFT-relaxed cell (GGA-PBE, the Materials Project) and copper Kα.
Kinematic intensities with the Lorentz-polarization factor, no thermal factor.

Top 6 peaks for 2θ = 5–70°, in order of falling intensity:
- 27.1 deg, intensity 100, (1 1 2)
- 23.7 deg, intensity 59, (1 0 -2)
- 28.4 deg, intensity 46, (1 2 -1)
- 22.6 deg, intensity 45, (0 2 0)
- 41.2 deg, intensity 38, (0 1 4)
- 26.3 deg, intensity 37, (1 1 -2)

Atomic structure:
a = 6.255 Å, b = 7.862 Å, c = 9.137 Å
α = 90.00°, β = 91.95°, γ = 90.00°
Space group P2_1/c (No. 14)
Inequivalent atoms, fractional coordinates:
Ba 0.175 0.171 0.303 x4
Te 0.289 0.691 0.462 x4
O 0.074 0.649 0.935 x4
O 0.211 0.518 0.334 x4
O 0.267 0.626 0.655 x4
O 0.438 0.226 0.562 x4

=====

[7]
Diffraction record for Ba2Ti2O5. The XRD peak list is simulated, not measured: it uses a DFT-relaxed cell (GGA-PBE, the Materials Project) and copper Kα.
Kinematic intensities with the Lorentz-polarization factor, no thermal factor.

Top 6 peaks for 2θ = 5–70°, in order of falling intensity:
- 31.1 deg, intensity 100, (1 4 1)
- 30.7 deg, intensity 58, (2 0 0)
- 54.8 deg, intensity 39, (3 4 1)
- 38.2 deg, intensity 34, (0 4 2)
- 43.9 deg, intensity 34, (2 0 2)
- 21.5 deg, intensity 21, (1 0 1)

Atomic structure:
a = 5.831 Å, b = 16.048 Å, c = 5.832 Å
α = 90.00°, β = 90.00°, γ = 90.00°
Space group Imma (No. 74)
Inequivalent atoms, fractional coordinates:
Ba 0.000 0.118 0.002 x8
Ti 0.000 0.000 0.500 x4
Ti 0.000 0.250 0.538 x4
O 0.000 0.130 0.480 x8
O 0.250 0.003 0.750 x8
O 0.250 0.250 0.750 x4